Diffraction record for Li4V5Cu3O16. The PXRD pattern is simulated, not measured: it uses DFT lattice parameters and positions (GGA+U) and Cu Kα.
Neutral-atom scattering factors, no anomalous dispersion.

Cell and atoms:
Unit cell a=5.918 b=5.918 c=9.706 alpha=92.09 beta=92.09 gamma=59.83
Fractional positions:
Li: 0.000 0.000 0.000
Li: 0.003 0.003 0.493
Li: 0.346 0.346 0.923
Li: 0.647 0.647 0.418
V: 0.176 0.176 0.254
V: 0.351 0.351 0.508
V: 0.361 0.859 0.735
V: 0.663 0.663 0.012
V: 0.859 0.361 0.735
Cu: 0.167 0.652 0.212
Cu: 0.652 0.167 0.212
Cu: 0.837 0.837 0.713
O: 0.001 0.001 0.295
O: 0.008 0.008 0.807
O: 0.013 0.445 0.366
O: 0.176 0.176 0.613
O: 0.192 0.658 0.595
O: 0.309 0.309 0.126
O: 0.359 0.830 0.095
O: 0.445 0.013 0.366
O: 0.458 0.458 0.363
O: 0.502 0.979 0.858
O: 0.530 0.530 0.848
O: 0.658 0.192 0.595
O: 0.662 0.662 0.617
O: 0.827 0.827 0.087
O: 0.830 0.359 0.095
O: 0.979 0.502 0.858

Main lines, sorted by position (10° ≤ 2θ ≤ 90°):
| 2theta | intensity |
| --- | --- |
| 18.30 | 100 |
| 19.45 | 45 |
| 19.79 | 54 |
| 19.93 | 32 |
| 25.04 | 33 |
| 34.99 | 41 |
| 36.14 | 58 |
| 36.52 | 35 |
| 44.72 | 38 |
| 62.85 | 32 |